Record 1
Diffraction record for Nd3VGeO9. The powder XRD pattern is computed, not measured: it uses the PBE+U geometry in the Materials Project and Cu Kα (weighted mean of Kα1 and Kα2).

Structural model:
Unit cell a=7.138 b=12.616 c=9.942 alpha=90.00 beta=115.44 gamma=90.00
Space group P2_1/c (No. 14)
One atom of each set of equivalent atoms:
Nd 0.049 0.131 0.379
Nd 0.367 0.607 0.873
Nd 0.397 0.136 0.156
V 0.219 0.663 0.521
Ge 0.192 0.101 0.742
O 0.026 0.159 0.129
O 0.064 0.575 0.908
O 0.174 0.172 0.888
O 0.243 0.749 0.165
O 0.280 0.532 0.277
O 0.288 0.544 0.619
O 0.313 0.169 0.641
O 0.380 0.080 0.384
O 0.398 0.711 0.463

Top 10 peaks for 2θ = 5–70°, low angle first:
26.0°, rel. 42
27.9°, rel. 46
28.3°, rel. 86
28.8°, rel. 100
29.6°, rel. 65
30.5°, rel. 48
35.9°, rel. 25
44.1°, rel. 31
51.9°, rel. 27
53.2°, rel. 25


Record 2
Diffraction record for NiGe2O6. The powder XRD pattern is computed, not measured: it uses the PBE+U geometry in the Materials Project and Cu Kα (weighted mean of Kα1 and Kα2).

Structural model:
Unit cell a=9.912 b=8.773 c=5.543 alpha=90.00 beta=109.77 gamma=90.00
Space group C2/c (No. 15)
One atom of each set of equivalent atoms:
Ni 0.000 0.081 0.250
Ge 0.203 0.407 0.266
O 0.104 0.085 0.625
O 0.131 0.477 0.494
O 0.146 0.216 0.197

Top 10 peaks for 2θ = 5–70°, low angle first:
19.3°, rel. 65
20.2°, rel. 62
26.5°, rel. 41
29.2°, rel. 100
30.5°, rel. 93
34.4°, rel. 54
34.9°, rel. 35
36.2°, rel. 58
46.6°, rel. 24
56.1°, rel. 28


Record 3
Diffraction record for NiGe3O8. The powder XRD pattern is computed, not measured: it uses the PBE+U geometry in the Materials Project and Cu Kα (weighted mean of Kα1 and Kα2).

Structural model:
Unit cell a=8.120 b=8.120 c=8.120 alpha=90.00 beta=90.00 gamma=90.00
Space group P4_332 (No. 212)
One atom of each set of equivalent atoms:
Ni 0.125 0.125 0.125
Ge 0.122 0.375 0.372
O 0.108 0.613 0.385
O 0.111 0.389 0.611

Top 8 peaks for 2θ = 5–70°, low angle first:
18.9°, rel. 100
36.7°, rel. 41
38.4°, rel. 17
44.6°, rel. 49
48.9°, rel. 13
59.1°, rel. 17
65.0°, rel. 27
68.3°, rel. 16


Record 4
Diffraction record for NiGe2O6. The powder XRD pattern is computed, not measured: it uses the PBE+U geometry in the Materials Project and Cu Kα (weighted mean of Kα1 and Kα2).

Structural model:
Unit cell a=10.128 b=8.974 c=5.370 alpha=90.00 beta=105.34 gamma=90.00
Space group P2_1/c (No. 14)
One atom of each set of equivalent atoms:
Ni 0.234 0.163 0.496
Ge 0.055 0.658 0.862
Ge 0.487 0.652 0.108
O 0.114 0.697 0.196
O 0.120 0.014 0.292
O 0.129 0.162 0.748
O 0.333 0.188 0.234
O 0.406 0.734 0.339
O 0.416 0.033 0.618

Top 10 peaks for 2θ = 5–70°, low angle first:
13.4°, rel. 18
18.2°, rel. 20
19.8°, rel. 100
29.2°, rel. 40
29.3°, rel. 39
34.6°, rel. 40
34.7°, rel. 32
39.6°, rel. 36
55.0°, rel. 16
60.5°, rel. 21


Record 5
Diffraction record for TiNi4GeO8. The powder XRD pattern is computed, not measured: it uses the PBE+U geometry in the Materials Project and Cu Kα (weighted mean of Kα1 and Kα2).

Structural model:
Unit cell a=8.366 b=8.366 c=8.366 alpha=90.00 beta=90.00 gamma=90.00
Space group F-43m (No. 216)
One atom of each set of equivalent atoms:
Ti 0.000 0.000 0.000
Ni 0.126 0.126 0.374
Ge 0.250 0.250 0.750
O 0.125 0.125 0.625
O 0.127 0.127 0.127

Top 10 peaks for 2θ = 5–70°, low angle first:
18.4°, rel. 9
21.2°, rel. 2
30.2°, rel. 25
35.6°, rel. 100
37.2°, rel. 11
43.3°, rel. 21
47.4°, rel. 2
53.7°, rel. 9
57.2°, rel. 32
62.8°, rel. 44


Record 6
Diffraction record for V2GePb5O12. The powder XRD pattern is computed, not measured: it uses the PBE+U geometry in the Materials Project and Cu Kα (weighted mean of Kα1 and Kα2).

Structural model:
Unit cell a=10.248 b=7.473 c=10.302 alpha=90.00 beta=119.77 gamma=90.00
Space group Pm (No. 6)
One atom of each set of equivalent atoms:
V 0.000 0.000 0.000
V 0.033 0.500 0.790
V 0.393 0.500 0.375
V 0.622 0.500 0.016
Ge 0.412 0.000 0.774
Ge 0.641 0.000 0.411
Pb 0.000 0.000 0.635
Pb 0.021 0.500 0.143
Pb 0.273 0.500 0.649
Pb 0.279 0.000 0.419
Pb 0.355 0.234 0.060
Pb 0.675 0.250 0.719
Pb 0.758 0.000 0.137
Pb 0.766 0.500 0.401
O 0.101 0.317 0.739
O 0.114 0.500 0.987
O 0.197 0.000 0.086
O 0.275 0.318 0.310
O 0.324 0.000 0.885
O 0.365 0.187 0.651
O 0.425 0.500 0.902
O 0.500 0.500 0.573
O 0.510 0.500 0.295
O 0.528 0.000 0.500
O 0.534 0.000 0.212
O 0.612 0.000 0.887
O 0.673 0.316 0.134
O 0.715 0.500 0.912
O 0.764 0.187 0.486
O 0.836 0.500 0.697
O 0.916 0.000 0.803
O 0.934 0.185 0.052

Top 10 peaks for 2θ = 5–70°, low angle first:
21.0°, rel. 32
25.9°, rel. 33
26.4°, rel. 27
29.0°, rel. 68
29.2°, rel. 31
29.6°, rel. 100
30.2°, rel. 42
42.6°, rel. 25
45.3°, rel. 23
47.6°, rel. 25